# 1
Diffraction record for DyTmZn2Sn2. The XRD peak list is calculated, not measured: it uses the PBE geometry in OQMD and Cu Ka.
Kinematic intensities with the Lorentz-polarization factor, no thermal factor.

Atomic structure:
Unit cell a=4.489 b=4.489 c=15.675 alpha=90.00 beta=90.00 gamma=120.00
Positions (direct):
Dy1 0.000 0.000 0.000
Dy2 0.000 0.000 0.500
Tm1 0.000 0.000 0.250
Tm2 0.000 0.000 0.750
Zn1 0.333 0.667 0.162
Zn2 0.333 0.667 0.338
Zn3 0.667 0.333 0.662
Zn4 0.667 0.333 0.838
Sn1 0.333 0.667 0.614
Sn2 0.333 0.667 0.886
Sn3 0.667 0.333 0.114
Sn4 0.667 0.333 0.386

Top 6 peaks for 2θ = 15–90°, low angle first:
2θ (°), I (rel.)
28.62, 16
32.44, 100
40.17, 60
52.55, 26
62.97, 16
68.15, 24

---

# 2
Diffraction record for Al12Re17. The XRD peak list is calculated, not measured: it uses the PBE geometry in OQMD and Cu Ka.
Kinematic intensities with the Lorentz-polarization factor, no thermal factor.

Atomic structure:
Unit cell a=8.174 b=8.174 c=8.174 alpha=109.47 beta=109.47 gamma=109.47
Positions (direct):
Al1 0.000 0.193 0.381
Al2 0.000 0.381 0.193
Al3 0.188 0.807 0.807
Al4 0.193 0.000 0.381
Al5 0.193 0.381 0.000
Al6 0.381 0.000 0.193
Al7 0.381 0.193 0.000
Al8 0.619 0.619 0.812
Al9 0.619 0.812 0.619
Al10 0.807 0.188 0.807
Al11 0.807 0.807 0.188
Al12 0.812 0.619 0.619
Re1 0.000 0.000 0.000
Re2 0.000 0.000 0.641
Re3 0.000 0.416 0.694
Re4 0.000 0.641 0.000
Re5 0.000 0.694 0.416
Re6 0.279 0.584 0.584
Re7 0.306 0.306 0.721
Re8 0.306 0.721 0.306
Re9 0.359 0.359 0.359
Re10 0.416 0.000 0.694
Re11 0.416 0.694 0.000
Re12 0.584 0.279 0.584
Re13 0.584 0.584 0.279
Re14 0.641 0.000 0.000
Re15 0.694 0.000 0.416
Re16 0.694 0.416 0.000
Re17 0.721 0.306 0.306

Top 6 peaks for 2θ = 15–90°, low angle first:
2θ (°), I (rel.)
23.08, 33
38.14, 10
40.55, 100
47.17, 11
58.69, 10
73.77, 23

---

# 3
Diffraction record for NaGdCoTe3. The XRD peak list is calculated, not measured: it uses the PBE geometry in OQMD and Cu Ka.
Kinematic intensities with the Lorentz-polarization factor, no thermal factor.

Atomic structure:
Unit cell a=11.377 b=4.205 c=14.577 alpha=90.00 beta=90.00 gamma=90.00
Positions (direct):
Na1 0.220 0.250 0.005
Na2 0.280 0.750 0.505
Na3 0.720 0.250 0.495
Na4 0.780 0.750 0.995
Gd1 0.018 0.750 0.743
Gd2 0.482 0.250 0.243
Gd3 0.518 0.750 0.757
Gd4 0.982 0.250 0.257
Co1 0.236 0.750 0.224
Co2 0.264 0.250 0.724
Co3 0.736 0.750 0.276
Co4 0.764 0.250 0.776
Te1 0.058 0.750 0.115
Te2 0.097 0.250 0.604
Te3 0.236 0.250 0.331
Te4 0.264 0.750 0.831
Te5 0.403 0.750 0.104
Te6 0.442 0.250 0.615
Te7 0.558 0.750 0.385
Te8 0.597 0.250 0.896
Te9 0.736 0.250 0.169
Te10 0.764 0.750 0.669
Te11 0.903 0.750 0.396
Te12 0.942 0.250 0.885

Top 6 peaks for 2θ = 15–90°, low angle first:
2θ (°), I (rel.)
26.49, 80
28.06, 72
29.16, 71
32.25, 100
40.87, 58
43.02, 42

---

# 4
Diffraction record for NdErPt2. The XRD peak list is calculated, not measured: it uses the PBE geometry in OQMD and Cu Ka.
Kinematic intensities with the Lorentz-polarization factor, no thermal factor.

Atomic structure:
Unit cell a=3.720 b=5.141 c=8.949 alpha=90.00 beta=90.00 gamma=90.00
Positions (direct):
Nd1 0.000 0.001 0.250
Nd2 0.000 0.999 0.750
Er1 0.001 0.500 0.500
Er2 0.999 0.500 0.000
Pt1 0.500 0.000 0.000
Pt2 0.500 0.000 0.500
Pt3 0.500 0.498 0.750
Pt4 0.500 0.502 0.250

Top 6 peaks for 2θ = 15–90°, low angle first:
2θ (°), I (rel.)
34.90, 27
35.93, 100
40.31, 18
54.36, 15
63.26, 20
70.44, 14

---

# 5
Diffraction record for Ba3SrCu4. The XRD peak list is calculated, not measured: it uses the PBE geometry in OQMD and Cu Ka.
Kinematic intensities with the Lorentz-polarization factor, no thermal factor.

Atomic structure:
Unit cell a=4.393 b=4.393 c=15.429 alpha=90.00 beta=90.00 gamma=120.00
Positions (direct):
Ba1 0.000 0.000 0.000
Ba2 0.000 0.000 0.262
Ba3 0.667 0.333 0.762
Sr1 0.667 0.333 0.501
Cu1 0.000 0.000 0.631
Cu2 0.333 0.667 0.131
Cu3 0.333 0.667 0.631
Cu4 0.667 0.333 0.131

Top 6 peaks for 2θ = 15–90°, low angle first:
2θ (°), I (rel.)
24.09, 23
29.20, 100
33.07, 35
37.53, 33
41.10, 56
64.27, 27

---

# 6
Diffraction record for Rb2AgBiCl6. The XRD peak list is calculated, not measured: it uses the PBE geometry in OQMD and Cu Ka.
Kinematic intensities with the Lorentz-polarization factor, no thermal factor.

Atomic structure:
Unit cell a=13.556 b=13.556 c=13.556 alpha=32.20 beta=32.20 gamma=32.20
Positions (direct):
Rb1 0.124 0.124 0.124
Rb2 0.291 0.291 0.291
Rb3 0.709 0.709 0.709
Rb4 0.876 0.876 0.876
Ag1 0.416 0.416 0.416
Ag2 0.584 0.584 0.584
Bi1 0.000 0.000 0.000
Bi2 0.500 0.500 0.500
Cl1 0.116 0.631 0.631
Cl2 0.209 0.209 0.706
Cl3 0.209 0.706 0.209
Cl4 0.294 0.791 0.791
Cl5 0.369 0.369 0.884
Cl6 0.369 0.884 0.369
Cl7 0.631 0.116 0.631
Cl8 0.631 0.631 0.116
Cl9 0.706 0.209 0.209
Cl10 0.791 0.294 0.791
Cl11 0.791 0.791 0.294
Cl12 0.884 0.369 0.369

Top 6 peaks for 2θ = 15–90°, low angle first:
2θ (°), I (rel.)
23.67, 100
26.89, 43
31.94, 48
36.12, 36
36.82, 37
48.43, 40

---

# 7
Diffraction record for Ta2AlAu. The XRD peak list is calculated, not measured: it uses the PBE geometry in OQMD and Cu Ka.
Kinematic intensities with the Lorentz-polarization factor, no thermal factor.

Atomic structure:
Unit cell a=6.544 b=6.544 c=6.544 alpha=90.00 beta=90.00 gamma=90.00
Positions (direct):
Ta1 0.000 0.000 0.000
Ta2 0.000 0.500 0.500
Ta3 0.250 0.250 0.250
Ta4 0.250 0.750 0.750
Ta5 0.500 0.000 0.500
Ta6 0.500 0.500 0.000
Ta7 0.750 0.250 0.750
Ta8 0.750 0.750 0.250
Al1 0.000 0.000 0.500
Al2 0.000 0.500 0.000
Al3 0.500 0.000 0.000
Al4 0.500 0.500 0.500
Au1 0.250 0.250 0.750
Au2 0.250 0.750 0.250
Au3 0.750 0.250 0.250
Au4 0.750 0.750 0.750

Top 6 peaks for 2θ = 15–90°, low angle first:
2θ (°), I (rel.)
23.55, 16
27.26, 11
38.93, 100
56.23, 17
70.50, 36
83.58, 11

---

# 8
Diffraction record for Ho2TmCd3Ga3. The XRD peak list is calculated, not measured: it uses the PBE geometry in OQMD and Cu Ka.
Kinematic intensities with the Lorentz-polarization factor, no thermal factor.

Atomic structure:
Unit cell a=4.390 b=7.214 c=7.214 alpha=119.89 beta=90.00 gamma=90.00
Positions (direct):
Ho1 0.000 0.212 0.788
Ho2 0.000 0.788 0.212
Tm1 0.000 0.637 0.637
Cd1 0.500 0.213 0.463
Cd2 0.500 0.463 0.213
Cd3 0.500 0.963 0.963
Ga1 0.000 0.214 0.214
Ga2 0.500 0.547 0.878
Ga3 0.500 0.878 0.547

Top 6 peaks for 2θ = 15–90°, low angle first:
2θ (°), I (rel.)
32.11, 96
35.25, 100
38.09, 50
41.12, 32
57.31, 20
68.93, 19

---

# 9
Diffraction record for SrTaH2O4. The XRD peak list is calculated, not measured: it uses the PBE geometry in OQMD and Cu Ka.
Kinematic intensities with the Lorentz-polarization factor, no thermal factor.

Atomic structure:
Unit cell a=6.311 b=6.311 c=6.311 alpha=108.87 beta=108.87 gamma=110.68
Positions (direct):
Sr1 0.000 0.000 0.000
Sr2 0.750 0.250 0.500
Ta1 0.250 0.750 0.500
Ta2 0.500 0.500 0.000
H1 0.190 0.125 0.565
H2 0.375 0.810 0.935
H3 0.560 0.625 0.435
H4 0.875 0.440 0.065
O1 0.147 0.227 0.734
O2 0.163 0.742 0.766
O3 0.258 0.023 0.421
O4 0.492 0.413 0.266
O5 0.587 0.853 0.079
O6 0.603 0.837 0.579
O7 0.773 0.508 0.921
O8 0.977 0.397 0.234

Top 6 peaks for 2θ = 15–90°, low angle first:
2θ (°), I (rel.)
17.28, 29
24.25, 92
30.27, 100
34.56, 36
46.59, 79
56.02, 21

---

# 10
Diffraction record for TbHo2In3AgPt2. The XRD peak list is calculated, not measured: it uses the PBE geometry in OQMD and Cu Ka.
Kinematic intensities with the Lorentz-polarization factor, no thermal factor.

Atomic structure:
Unit cell a=3.765 b=7.824 c=7.824 alpha=120.10 beta=90.00 gamma=90.00
Positions (direct):
Tb1 0.000 0.000 0.000
Ho1 0.000 0.182 0.591
Ho2 0.000 0.591 0.182
In1 0.500 0.323 0.323
In2 0.500 0.590 0.860
In3 0.500 0.860 0.590
Ag1 0.000 0.591 0.591
Pt1 0.500 0.259 0.924
Pt2 0.500 0.924 0.259

Top 6 peaks for 2θ = 15–90°, low angle first:
2θ (°), I (rel.)
33.03, 100
35.06, 42
35.66, 92
39.94, 54
42.72, 26
48.37, 28

---

# 11
Diffraction record for Cu4Ag3. The XRD peak list is calculated, not measured: it uses the PBE geometry in OQMD and Cu Ka.
Kinematic intensities with the Lorentz-polarization factor, no thermal factor.

Atomic structure:
Unit cell a=4.715 b=4.732 c=4.770 alpha=98.65 beta=100.00 gamma=99.82
Positions (direct):
Cu1 0.081 0.293 0.139
Cu2 0.364 0.437 0.720
Cu3 0.636 0.563 0.280
Cu4 0.919 0.707 0.861
Ag1 0.201 0.840 0.421
Ag2 0.500 0.000 0.000
Ag3 0.799 0.160 0.579

Top 6 peaks for 2θ = 15–90°, low angle first:
2θ (°), I (rel.)
40.33, 100
40.48, 33
46.34, 22
47.26, 41
68.20, 12
68.49, 13

---

# 12
Diffraction record for Sr2Li3NdPb3. The XRD peak list is calculated, not measured: it uses the PBE geometry in OQMD and Cu Ka.
Kinematic intensities with the Lorentz-polarization factor, no thermal factor.

Atomic structure:
Unit cell a=5.017 b=5.017 c=11.675 alpha=90.00 beta=90.00 gamma=120.00
Positions (direct):
Sr1 0.000 0.000 0.164
Sr2 0.000 0.000 0.836
Li1 0.333 0.667 0.000
Li2 0.667 0.333 0.323
Li3 0.667 0.333 0.677
Nd1 0.000 0.000 0.500
Pb1 0.333 0.667 0.358
Pb2 0.333 0.667 0.642
Pb3 0.667 0.333 0.000

Top 6 peaks for 2θ = 15–90°, low angle first:
2θ (°), I (rel.)
21.83, 89
30.84, 100
35.80, 77
37.11, 40
47.96, 30
61.26, 29

---

Number 4 is which compound?
NdErPt2

---

What is the formula in the first record?
DyTmZn2Sn2